(1)
Calculated powder X-ray diffraction pattern of U4Si3Ru2 for Cu Kα, from a crystal structure in the Materials Project, relaxed with PBE.
Neutral-atom scattering factors, no anomalous dispersion.

Principal peaks in the range 2θ from 15° to 90°, in order of rising 2θ:
d/Å, two_theta, intensity
4.948, 17.93, 58.3
2.787, 32.12, 31.0
2.551, 35.18, 39.3
2.474, 36.31, 41.9
2.428, 37.02, 49.7
2.268, 39.75, 100.0
1.776, 51.45, 26.8
1.487, 62.44, 24.2
1.385, 67.64, 21.2
1.133, 85.71, 19.9

Atomic structure:
Cell: 7.986 7.986 7.986 Å, 137.89 103.44 91.48°
Atoms (fractional coordinates):
U 0.000 0.000 0.000
U 0.000 0.500 0.500
U 0.258 0.000 0.758
U 0.258 0.500 0.258
U 0.500 0.000 0.500
U 0.500 0.500 0.000
U 0.742 0.000 0.242
U 0.742 0.500 0.742
Si 0.177 0.187 0.510
Si 0.177 0.667 0.990
Si 0.402 0.152 0.250
Si 0.598 0.848 0.750
Si 0.823 0.333 0.010
Si 0.823 0.813 0.490
Ru 0.005 0.755 0.250
Ru 0.365 0.615 0.750
Ru 0.635 0.385 0.250
Ru 0.995 0.245 0.750

***

(2)
Calculated powder X-ray diffraction pattern of Cu2PdAu for Cu Kα, from a crystal structure in the Materials Project, relaxed with PBE.
Neutral-atom scattering factors, no anomalous dispersion.

Principal peaks in the range 2θ from 15° to 90°, in order of rising 2θ:
d/Å, two_theta, intensity
3.524, 25.27, 9.7
3.052, 29.26, 18.4
2.158, 41.86, 100.0
1.841, 49.53, 5.3
1.762, 51.89, 5.4
1.526, 60.68, 16.3
1.400, 66.80, 2.3
1.365, 68.78, 7.3
1.246, 76.44, 32.8
1.175, 82.03, 1.9

Atomic structure:
Cell: 6.104 6.104 6.104 Å, 90.00 90.00 90.00°
Atoms (fractional coordinates):
Cu 0.250 0.250 0.250
Cu 0.250 0.250 0.750
Cu 0.250 0.750 0.250
Cu 0.250 0.750 0.750
Cu 0.750 0.250 0.250
Cu 0.750 0.250 0.750
Cu 0.750 0.750 0.250
Cu 0.750 0.750 0.750
Pd 0.000 0.000 0.000
Pd 0.000 0.500 0.500
Pd 0.500 0.000 0.500
Pd 0.500 0.500 0.000
Au 0.000 0.000 0.500
Au 0.000 0.500 0.000
Au 0.500 0.000 0.000
Au 0.500 0.500 0.500

***

(3)
Calculated powder X-ray diffraction pattern of Y3Mg for Cu Kα, from a crystal structure in the Materials Project, relaxed with PBE.
Neutral-atom scattering factors, no anomalous dispersion.

Principal peaks in the range 2θ from 15° to 90°, in order of rising 2θ:
d/Å, two_theta, intensity
3.075, 29.04, 25.4
3.041, 29.37, 14.0
2.814, 31.80, 36.4
2.698, 33.20, 100.0
2.675, 33.50, 46.4
2.076, 43.61, 16.2
1.762, 51.89, 17.5
1.601, 57.56, 19.7
1.493, 62.16, 19.9
1.483, 62.65, 14.4

Atomic structure:
Cell: 3.563 5.627 6.082 Å, 90.00 90.00 90.00°
Atoms (fractional coordinates):
Y 0.000 0.000 0.000
Y 0.000 0.500 0.343
Y 0.500 0.000 0.505
Mg 0.500 0.500 0.833

***

(4)
Calculated powder X-ray diffraction pattern of Ba2LiHoRuO6 for Cu Kα, from a crystal structure in the Materials Project, relaxed with PBE.
Neutral-atom scattering factors, no anomalous dispersion.

Principal peaks in the range 2θ from 15° to 90°, in order of rising 2θ:
d/Å, two_theta, intensity
4.294, 20.69, 17.2
3.144, 28.39, 80.4
2.939, 30.42, 100.0
2.708, 33.08, 11.6
2.147, 42.09, 46.3
1.974, 45.97, 27.8
1.734, 52.81, 28.6
1.697, 54.05, 20.1
1.521, 60.92, 12.3
1.469, 63.30, 18.1

Atomic structure:
Cell: 5.878 5.878 6.324 Å, 117.77 117.77 59.96°
Atoms (fractional coordinates):
Ba 0.000 0.000 0.000
Ba 0.530 0.530 0.593
Li 0.158 0.158 0.477
Ho 0.310 0.310 0.931
Ru 0.792 0.792 0.378
O 0.037 0.037 0.621
O 0.037 0.544 0.620
O 0.037 0.560 0.157
O 0.544 0.037 0.620
O 0.560 0.037 0.157
O 0.560 0.560 0.155

***

(5)
Calculated powder X-ray diffraction pattern of CdO for Cu Kα, from a crystal structure in the Materials Project, relaxed with PBE.
Neutral-atom scattering factors, no anomalous dispersion.

Principal peaks in the range 2θ from 15° to 90°, in order of rising 2θ:
d/Å, two_theta, intensity
3.191, 27.96, 39.5
2.913, 30.70, 33.0
2.798, 31.98, 100.0
2.151, 42.00, 20.5
1.842, 49.48, 30.2
1.659, 55.39, 28.7
1.557, 59.36, 27.9
1.539, 60.14, 16.1
1.233, 77.43, 10.1
1.181, 81.51, 13.5

Atomic structure:
Cell: 3.684 3.684 5.825 Å, 90.00 90.00 120.00°
Atoms (fractional coordinates):
Cd 0.333 0.667 0.000
Cd 0.667 0.333 0.500
O 0.333 0.667 0.386
O 0.667 0.333 0.886

***

(6)
Calculated powder X-ray diffraction pattern of Mg16Al12Pd for Cu Kα, from a crystal structure in the Materials Project, relaxed with PBE.
Neutral-atom scattering factors, no anomalous dispersion.

Principal peaks in the range 2θ from 15° to 90°, in order of rising 2θ:
d/Å, two_theta, intensity
4.332, 20.50, 16.5
2.618, 34.26, 35.4
2.488, 36.11, 63.4
2.466, 36.44, 53.1
2.451, 36.66, 100.0
2.227, 40.50, 24.7
2.218, 40.68, 41.5
2.166, 41.70, 20.4
2.060, 43.96, 27.4
1.427, 65.41, 24.3

Atomic structure:
Cell: 9.021 9.021 9.021 Å, 109.03 109.03 109.03°
Atoms (fractional coordinates):
Mg 0.000 0.000 0.000
Mg 0.269 0.674 0.674
Mg 0.309 0.586 0.986
Mg 0.309 0.986 0.586
Mg 0.340 0.989 0.989
Mg 0.412 0.412 0.688
Mg 0.412 0.688 0.412
Mg 0.586 0.309 0.986
Mg 0.586 0.986 0.309
Mg 0.674 0.269 0.674
Mg 0.674 0.674 0.269
Mg 0.688 0.412 0.412
Mg 0.986 0.309 0.586
Mg 0.986 0.586 0.309
Mg 0.989 0.340 0.989
Mg 0.989 0.989 0.340
Al 0.155 0.344 0.344
Al 0.178 0.178 0.795
Al 0.178 0.795 0.178
Al 0.344 0.155 0.344
Al 0.344 0.344 0.155
Al 0.624 0.807 0.988
Al 0.624 0.988 0.807
Al 0.795 0.178 0.178
Al 0.807 0.624 0.988
Al 0.807 0.988 0.624
Al 0.988 0.624 0.807
Al 0.988 0.807 0.624
Pd 0.714 0.714 0.714

***

(7)
Calculated powder X-ray diffraction pattern of AcEuZn2 for Cu Kα, from a crystal structure in the Materials Project, relaxed with PBE.
Neutral-atom scattering factors, no anomalous dispersion.

Principal peaks in the range 2θ from 15° to 90°, in order of rising 2θ:
d/Å, two_theta, intensity
3.873, 22.97, 23.4
2.738, 32.70, 100.0
2.236, 40.34, 7.5
1.936, 46.92, 18.3
1.732, 52.86, 10.7
1.581, 58.37, 38.0
1.369, 68.53, 11.7
1.291, 73.34, 5.4
1.225, 78.03, 16.3
1.118, 87.20, 4.2

Atomic structure:
Cell: 7.745 7.745 7.745 Å, 90.00 90.00 90.00°
Atoms (fractional coordinates):
Ac 0.000 0.000 0.000
Ac 0.000 0.500 0.500
Ac 0.500 0.000 0.500
Ac 0.500 0.500 0.000
Eu 0.000 0.000 0.500
Eu 0.000 0.500 0.000
Eu 0.500 0.000 0.000
Eu 0.500 0.500 0.500
Zn 0.250 0.250 0.250
Zn 0.250 0.250 0.750
Zn 0.250 0.750 0.250
Zn 0.250 0.750 0.750
Zn 0.750 0.250 0.250
Zn 0.750 0.250 0.750
Zn 0.750 0.750 0.250
Zn 0.750 0.750 0.750

***

(8)
Calculated powder X-ray diffraction pattern of K2SnTe3 for Cu Kα, from a crystal structure in the Materials Project, relaxed with PBE.
Neutral-atom scattering factors, no anomalous dispersion.

Principal peaks in the range 2θ from 15° to 90°, in order of rising 2θ:
d/Å, two_theta, intensity
3.733, 23.83, 28.0
3.523, 25.28, 63.0
3.267, 27.30, 42.2
3.117, 28.64, 46.2
2.923, 30.59, 100.0
2.070, 43.74, 26.7
2.067, 43.81, 25.8
2.014, 45.02, 17.1
2.005, 45.24, 17.5
1.765, 51.79, 12.2

Atomic structure:
Cell: 12.511 12.511 8.838 Å, 90.00 90.00 41.14°
Atoms (fractional coordinates):
K 0.078 0.078 0.000
K 0.235 0.235 0.000
K 0.265 0.265 0.500
K 0.422 0.422 0.500
K 0.578 0.578 0.500
K 0.735 0.735 0.500
K 0.765 0.765 0.000
K 0.922 0.922 0.000
Sn 0.084 0.084 0.500
Sn 0.416 0.416 0.000
Sn 0.584 0.584 0.000
Sn 0.916 0.916 0.500
Te 0.037 0.664 0.314
Te 0.164 0.537 0.814
Te 0.168 0.832 0.668
Te 0.332 0.668 0.168
Te 0.336 0.963 0.314
Te 0.463 0.836 0.814
Te 0.537 0.164 0.186
Te 0.664 0.037 0.686
Te 0.668 0.332 0.832
Te 0.832 0.168 0.332
Te 0.836 0.463 0.186
Te 0.963 0.336 0.686

***

Repeat the third record exactly.
Calculated powder X-ray diffraction pattern of Y3Mg for Cu Kα, from a crystal structure in the Materials Project, relaxed with PBE.
Neutral-atom scattering factors, no anomalous dispersion.

Principal peaks in the range 2θ from 15° to 90°, in order of rising 2θ:
d/Å, two_theta, intensity
3.075, 29.04, 25.4
3.041, 29.37, 14.0
2.814, 31.80, 36.4
2.698, 33.20, 100.0
2.675, 33.50, 46.4
2.076, 43.61, 16.2
1.762, 51.89, 17.5
1.601, 57.56, 19.7
1.493, 62.16, 19.9
1.483, 62.65, 14.4

Atomic structure:
Cell: 3.563 5.627 6.082 Å, 90.00 90.00 90.00°
Atoms (fractional coordinates):
Y 0.000 0.000 0.000
Y 0.000 0.500 0.343
Y 0.500 0.000 0.505
Mg 0.500 0.500 0.833